# DyNiSn
Theoretical powder diffraction line list, λ = 1.5418 Å (Cu Kα). Input: a DFT-relaxed cell (GGA-PBE, the Materials Project).

The 10 most intense peaks (5° ≤ 2θ ≤ 70°), in order of rising 2θ:
| 2θ (°) | intensity |
| --- | --- |
| 33.18 | 46 |
| 34.19 | 100 |
| 34.29 | 39 |
| 39.68 | 22 |
| 40.28 | 38 |
| 40.55 | 51 |
| 53.91 | 21 |
| 57.83 | 15 |
| 65.86 | 23 |
| 69.34 | 13 |

Atomic structure:
a b c (Å): 7.1329 4.4777 7.6914
angles (deg): 90.00 90.00 90.00
Space group Pnma (No. 62)
Asymmetric unit:
Dy  0.0129  0.2500  0.2027
Ni  0.2007  0.7500  0.4151
Sn  0.1906  0.2500  0.5866